(1)
Computed X-ray diffraction stick pattern of LaSmMo2O8 for CuKα, from a cell relaxed with PBE+U.

Peak list (12 most intense, 10 to 80 degrees two-theta, low angle first)
- d 3.178, 2θ = 28.08°, intensity 100, (1 1 2)
- d 2.875, 2θ = 31.11°, intensity 13, (0 0 4)
- d 2.696, 2θ = 33.23°, intensity 20, (2 0 0)
- d 1.967, 2θ = 46.16°, intensity 31, (2 0 4)
- d 1.907, 2θ = 47.70°, intensity 15, (2 2 0)
- d 1.712, 2θ = 53.51°, intensity 16, (1 1 6)
- d 1.635, 2θ = 56.27°, intensity 28, (1 3 2)
- d 1.589, 2θ = 58.05°, intensity 11, (2 2 4)
- d 1.274, 2θ = 74.48°, intensity 12, (3 1 6)
- d 1.268, 2θ = 74.86°, intensity 6, (2 0 8)
- d 1.241, 2θ = 76.80°, intensity 6, (3 3 2)
- d 1.206, 2θ = 79.48°, intensity 5, (2 4 0)

Structure:
a = 5.3925 Å, b = 5.3925 Å, c = 11.4994 Å
α = 90.00°, β = 90.00°, γ = 90.00°
Space group I-4 (No. 82)
Symmetry-distinct sites (fractional):
La1 0.0000 0.0000 0.0000 [2 per cell]
Sm1 0.0000 0.5000 0.7500 [2 per cell]
Mo1 0.0000 0.0000 0.5000 [2 per cell]
Mo2 0.0000 0.5000 0.2500 [2 per cell]
O1 0.1614 0.2314 0.5862 [8 per cell]
O2 0.1783 0.7601 0.1615 [8 per cell]

=====

(2)
Computed X-ray diffraction stick pattern of LaTiMoO6 for CuKα, from a cell relaxed with PBE+U.

Peak list (12 most intense, 10 to 80 degrees two-theta, low angle first)
- d 4.405, 2θ = 20.16°, intensity 18, (1 0 1)
- d 3.481, 2θ = 25.59°, intensity 100, (1 1 0)
- d 2.844, 2θ = 31.46°, intensity 10, (1 1 2)
- d 2.734, 2θ = 32.76°, intensity 81, (1 0 3)
- d 2.462, 2θ = 36.50°, intensity 21, (2 0 0)
- d 1.829, 2θ = 49.85°, intensity 66, (2 1 3)
- d 1.741, 2θ = 52.58°, intensity 20, (2 2 0)
- d 1.643, 2θ = 55.96°, intensity 9, (0 0 6)
- d 1.557, 2θ = 59.37°, intensity 15, (3 1 0)
- d 1.486, 2θ = 62.50°, intensity 17, (1 1 6)
- d 1.468, 2θ = 63.34°, intensity 21, (3 0 3)
- d 1.261, 2θ = 75.38°, intensity 14, (3 2 3)

Structure:
a = 4.9229 Å, b = 4.9229 Å, c = 9.8608 Å
α = 90.00°, β = 90.00°, γ = 90.00°
Space group P4_2nm (No. 102)
Symmetry-distinct sites (fractional):
La1 0.0000 0.0000 0.0000 [2 per cell]
Ti1 0.0000 0.0000 0.3437 [2 per cell]
Mo1 0.0000 0.0000 0.6680 [2 per cell]
O1 0.1707 0.1707 0.5012 [4 per cell]
O2 0.2262 0.2262 0.8128 [4 per cell]
O3 0.2281 0.2281 0.1948 [4 per cell]

=====

(3)
Computed X-ray diffraction stick pattern of LaZn3Mo4O12 for CuKα, from a cell relaxed with PBE+U.

Peak list (12 most intense, 10 to 80 degrees two-theta, low angle first)
- d 5.538, 2θ = 16.00°, intensity 5, (1 1 0)
- d 3.916, 2θ = 22.71°, intensity 1, (2 0 0)
- d 3.197, 2θ = 27.91°, intensity 1, (2 1 1)
- d 2.769, 2θ = 32.33°, intensity 100, (2 2 0)
- d 2.476, 2θ = 36.27°, intensity 5, (3 1 0)
- d 2.093, 2θ = 43.23°, intensity 5, (3 2 1)
- d 1.958, 2θ = 46.38°, intensity 25, (4 0 0)
- d 1.599, 2θ = 57.67°, intensity 47, (4 2 2)
- d 1.536, 2θ = 60.26°, intensity 1, (4 1 3)
- d 1.384, 2θ = 67.68°, intensity 13, (4 4 0)
- d 1.270, 2θ = 74.72°, intensity 1, (5 3 2)
- d 1.238, 2θ = 77.01°, intensity 17, (6 0 2)

Structure:
a = 7.8314 Å, b = 7.8314 Å, c = 7.8314 Å
α = 90.00°, β = 90.00°, γ = 90.00°
Space group Im-3 (No. 204)
Symmetry-distinct sites (fractional):
La1 0.0000 0.0000 0.0000 [2 per cell]
Zn1 0.0000 0.0000 0.5000 [6 per cell]
Mo1 0.2500 0.2500 0.2500 [8 per cell]
O1 0.0000 0.1729 0.3007 [24 per cell]